For Ho6Ge3S14, a crystal structure in Alexandria, relaxed with PBE gives the computed X-ray diffraction stick pattern in this record (a wavelength of 1.5418 Å).
Kinematic intensities with the Lorentz-polarization factor, no thermal factor.

Crystal structure
Lattice parameters (Å, degrees): 9.7868 9.7868 5.9209 90.00 90.00 120.00
Space group P3 (No. 143)
Asymmetric unit:
Ho  0.0287  0.5545  0.0000
Ho  0.3066  0.1124  0.5123
Ge  0.0000  0.0000  0.9350
Ge  0.3333  0.6667  0.4248
Ge  0.6667  0.3333  0.3011
S  0.0000  0.0000  0.3098
S  0.0907  0.8537  0.7704
S  0.1867  0.4294  0.2623
S  0.3333  0.6667  0.8007
S  0.4095  0.1811  0.0700
S  0.5094  0.4382  0.5653

Principal peaks in the range 10 to 80 degrees two-theta, in order of rising 2θ:
18.3°, 4.854 Å, I 198, hkl 0 1 1; 21.0°, 4.238 Å, I 250, hkl 2 0 0; 23.6°, 3.772 Å, I 214, hkl 2 -1 1; 25.9°, 3.446 Å, I 1000, hkl 0 2 1; 36.7°, 2.447 Å, I 413, hkl 2 2 0; 37.0°, 2.427 Å, I 337, hkl 2 0 2; 38.3°, 2.351 Å, I 193, hkl 1 3 0; 41.3°, 2.185 Å, I 219, hkl 3 1 1; 41.5°, 2.174 Å, I 193, hkl 1 2 2; 51.0°, 1.789 Å, I 190, hkl 0 2 3